Record 1
Starting from a crystal structure in OQMD, relaxed with GGA-PBE, the powder XRD pattern of Te2Mo2Br was calculated for copper Kα.

Peak list (6 most intense, 5° ≤ 2θ ≤ 70°, in order of falling intensity)
(hkl)	2theta	Rel. int.
1 3 1	37.84	100
0 2 0	12.52	41
2 0 0	37.39	27
0 6 0	38.20	20
3 3 1	67.74	19
1 3 0	26.50	15

Crystal structure
Unit cell a=4.8099 b=14.1351 c=3.3595 alpha=90.00 beta=90.00 gamma=90.00
Space group Pbam (No. 55)
Inequivalent atoms, fractional coordinates:
Te: 0.0003 0.1620 0.0000
Mo: 0.0014 0.3125 0.5000
Br: 0.0000 0.5000 0.0000


Record 2
Starting from a crystal structure in OQMD, relaxed with GGA-PBE, the powder XRD pattern of Nd4Br5N2 was calculated for copper Kα.

Peak list (6 most intense, 5° ≤ 2θ ≤ 70°, in order of falling intensity)
(hkl)	2theta	Rel. int.
1 1 -2	32.16	100
6 0 0	29.12	75
5 1 2	44.63	41
7 1 -2	43.22	36
0 0 1	10.98	36
3 1 -1	28.64	31

Crystal structure
Unit cell a=19.0705 b=3.7378 c=8.3491 alpha=90.00 beta=105.26 gamma=90.00
Space group C2/m (No. 12)
Inequivalent atoms, fractional coordinates:
Nd: 0.0000 0.0000 0.1966
Nd: 0.1619 0.5000 0.1040
Br: 0.0000 0.5000 0.5000
Br: 0.1596 0.0000 0.3815
Br: 0.1685 0.0000 0.8204
N: 0.0376 0.5000 0.0230